Entry 1:
Structure and theoretical powder diffraction line list of Dy4IrRh2 (a structure optimized by DFT (GGA-PBE); Cu Ka).
Intensities are scaled so that the largest is 100.

Cell and atoms:
Lattice parameters (Å, degrees): 8.548 8.590 8.590 90.00 90.00 90.00
Space group I2_12_12_1 (No. 24)
One atom of each set of equivalent atoms:
Dy  0.065  0.063  0.064 (multiplicity 8)
Dy  0.186  0.313  0.688 (multiplicity 8)
Ir  0.124  0.000  0.750 (multiplicity 4)
Rh  0.000  0.250  0.373 (multiplicity 4)
Rh  0.250  0.379  0.000 (multiplicity 4)

Largest 10 diffraction maxima, low angle first, 5 to 70 degrees two-theta:
- d = 3.031 Å, rel. 13, hkl 2 2 0
- d = 2.716 Å, rel. 100, hkl 1 0 3
- d = 2.705 Å, rel. 56, hkl 3 1 0
- d = 2.294 Å, rel. 68, hkl 2 1 3
- d = 2.289 Å, rel. 21, hkl 3 2 1
- d = 1.829 Å, rel. 17, hkl 2 3 3
- d = 1.752 Å, rel. 13, hkl 2 2 4
- d = 1.684 Å, rel. 16, hkl 1 3 4
- d = 1.681 Å, rel. 26, hkl 3 4 1
- d = 1.393 Å, rel. 23, hkl 1 6 1

Entry 2:
Structure and theoretical powder diffraction line list of SrLaEr (a structure optimized by DFT (GGA-PBE); Cu Ka).
Intensities are scaled so that the largest is 100.

Cell and atoms:
Lattice parameters (Å, degrees): 3.813 3.813 16.184 90.00 90.00 90.00
Space group I4mm (No. 107)
One atom of each set of equivalent atoms:
Sr  0.000  0.000  0.000 (multiplicity 2)
La  0.000  0.000  0.686 (multiplicity 2)
Er  0.000  0.000  0.326 (multiplicity 2)

Largest 10 diffraction maxima, low angle first, 5 to 70 degrees two-theta:
- d = 8.092 Å, rel. 18, hkl 0 0 2
- d = 3.114 Å, rel. 100, hkl 1 0 3
- d = 2.697 Å, rel. 50, hkl 1 1 0
- d = 2.558 Å, rel. 5, hkl 1 1 2
- d = 2.468 Å, rel. 10, hkl 1 0 5
- d = 1.907 Å, rel. 34, hkl 2 0 0
- d = 1.626 Å, rel. 39, hkl 2 1 3
- d = 1.618 Å, rel. 5, hkl 1 1 8
- d = 1.557 Å, rel. 11, hkl 2 0 6
- d = 1.348 Å, rel. 5, hkl 2 2 0

Entry 3:
Structure and theoretical powder diffraction line list of Tb4Sm3Sc (a structure optimized by DFT (GGA-PBE); Cu Ka).
Intensities are scaled so that the largest is 100.

Cell and atoms:
Lattice parameters (Å, degrees): 8.678 8.678 13.313 90.00 90.00 90.00
Space group I4/mcm (No. 140)
One atom of each set of equivalent atoms:
Tb  0.152  0.348  0.162 (multiplicity 16)
Sm  0.000  0.000  0.250 (multiplicity 4)
Sm  0.146  0.354  0.500 (multiplicity 8)
Sc  0.000  0.000  0.000 (multiplicity 4)

Largest 10 diffraction maxima, low angle first, 5 to 70 degrees two-theta:
- d = 2.921 Å, rel. 100, hkl 2 1 3
- d = 2.744 Å, rel. 41, hkl 3 1 0
- d = 2.219 Å, rel. 7, hkl 0 0 6
- d = 2.116 Å, rel. 7, hkl 3 2 3
- d = 2.045 Å, rel. 7, hkl 3 3 0
- d = 1.902 Å, rel. 11, hkl 4 1 3
- d = 1.551 Å, rel. 10, hkl 4 0 6
- d = 1.515 Å, rel. 22, hkl 5 2 3
- d = 1.504 Å, rel. 11, hkl 3 3 6
- d = 1.382 Å, rel. 9, hkl 2 1 9

Entry 4:
Structure and theoretical powder diffraction line list of Sr8SbN2 (a structure optimized by DFT (GGA-PBE); Cu Ka).
Intensities are scaled so that the largest is 100.

Cell and atoms:
Lattice parameters (Å, degrees): 6.983 6.983 7.316 90.00 90.00 90.00
Space group P4/mmm (No. 123)
One atom of each set of equivalent atoms:
Sr  0.247  0.247  0.214 (multiplicity 8)
Sb  0.500  0.500  0.500 (multiplicity 1)
N  0.000  0.500  0.000 (multiplicity 2)

Largest 10 diffraction maxima, low angle first, 5 to 70 degrees two-theta:
- d = 5.052 Å, rel. 15, hkl 1 0 1
- d = 3.658 Å, rel. 26, hkl 0 0 2
- d = 3.492 Å, rel. 60, hkl 2 0 0
- d = 3.151 Å, rel. 18, hkl 2 0 1
- d = 2.526 Å, rel. 100, hkl 2 0 2
- d = 2.469 Å, rel. 55, hkl 2 2 0
- d = 2.046 Å, rel. 21, hkl 2 2 2
- d = 1.746 Å, rel. 19, hkl 4 0 0
- d = 1.735 Å, rel. 15, hkl 2 2 3
- d = 1.436 Å, rel. 33, hkl 4 2 2

Entry 5:
Structure and theoretical powder diffraction line list of Pu2Co2Ge (a structure optimized by DFT (GGA-PBE); Cu Ka).
Intensities are scaled so that the largest is 100.

Cell and atoms:
Lattice parameters (Å, degrees): 4.197 5.270 7.998 90.00 90.00 90.00
Space group Immm (No. 71)
One atom of each set of equivalent atoms:
Pu  0.000  0.000  0.207 (multiplicity 4)
Co  0.000  0.272  0.500 (multiplicity 4)
Ge  0.000  0.500  0.000 (multiplicity 2)

Largest 10 diffraction maxima, low angle first, 5 to 70 degrees two-theta:
- d = 3.283 Å, rel. 56, hkl 1 1 0
- d = 2.635 Å, rel. 20, hkl 0 2 0
- d = 2.538 Å, rel. 100, hkl 1 1 2
- d = 2.379 Å, rel. 27, hkl 0 1 3
- d = 2.251 Å, rel. 22, hkl 1 0 3
- d = 2.200 Å, rel. 27, hkl 0 2 2
- d = 2.150 Å, rel. 26, hkl 1 2 1
- d = 2.099 Å, rel. 27, hkl 2 0 0
- d = 1.519 Å, rel. 17, hkl 2 2 2
- d = 1.502 Å, rel. 16, hkl 1 3 2

Entry 6:
Structure and theoretical powder diffraction line list of MnSnTe3 (a structure optimized by DFT (GGA-PBE); Cu Ka).
Intensities are scaled so that the largest is 100.

Cell and atoms:
Lattice parameters (Å, degrees): 7.1110 7.1110 7.2633 90.00 90.00 120.00
Space group P-31m (No. 162)
One atom of each set of equivalent atoms:
Mn  0.3333  0.6667  0.0000 (multiplicity 2)
Sn  0.0000  0.0000  0.1973 (multiplicity 2)
Te  0.0000  0.4010  0.7634 (multiplicity 6)

Largest 10 diffraction maxima, low angle first, 5 to 70 degrees two-theta:
- d = 7.263 Å, rel. 26, hkl 0 0 1
- d = 3.632 Å, rel. 51, hkl 0 0 2
- d = 3.193 Å, rel. 100, hkl 1 1 1
- d = 3.079 Å, rel. 53, hkl 2 0 0
- d = 2.349 Å, rel. 60, hkl 2 0 2
- d = 2.217 Å, rel. 26, hkl 3 -1 1
- d = 2.053 Å, rel. 27, hkl 3 0 0
- d = 2.001 Å, rel. 23, hkl 1 1 3
- d = 1.678 Å, rel. 16, hkl 3 -1 3
- d = 1.663 Å, rel. 27, hkl 3 1 1

Entry 7:
Structure and theoretical powder diffraction line list of CaMg4Zn2 (a structure optimized by DFT (GGA-PBE); Cu Ka).
Intensities are scaled so that the largest is 100.

Cell and atoms:
Lattice parameters (Å, degrees): 8.706 8.706 8.584 90.00 90.00 90.00
Space group I4/mcm (No. 140)
One atom of each set of equivalent atoms:
Ca  0.000  0.000  0.250 (multiplicity 4)
Mg  0.145  0.355  0.163 (multiplicity 16)
Zn  0.154  0.346  0.500 (multiplicity 8)

Largest 10 diffraction maxima, low angle first, 5 to 70 degrees two-theta:
- d = 6.156 Å, rel. 15, hkl 1 1 0
- d = 3.546 Å, rel. 43, hkl 2 1 1
- d = 3.521 Å, rel. 23, hkl 1 1 2
- d = 3.056 Å, rel. 21, hkl 2 0 2
- d = 2.753 Å, rel. 75, hkl 3 1 0
- d = 2.306 Å, rel. 100, hkl 2 1 3
- d = 2.176 Å, rel. 14, hkl 4 0 0
- d = 2.051 Å, rel. 22, hkl 3 3 0
- d = 1.699 Å, rel. 14, hkl 4 1 3
- d = 1.408 Å, rel. 29, hkl 5 2 3

Entry 8:
Structure and theoretical powder diffraction line list of Dy9Y2Ho3 (a structure optimized by DFT (GGA-PBE); Cu Ka).
Intensities are scaled so that the largest is 100.

Cell and atoms:
Lattice parameters (Å, degrees): 16.425 5.573 10.204 90.00 105.65 90.00
Space group Cm (No. 8)
One atom of each set of equivalent atoms:
Dy  0.000  0.000  0.000 (multiplicity 2)
Dy  0.011  0.000  0.386 (multiplicity 2)
Dy  0.078  0.500  0.615 (multiplicity 2)
Dy  0.126  0.500  0.991 (multiplicity 2)
Dy  0.172  0.000  0.248 (multiplicity 2)
Dy  0.205  0.000  0.616 (multiplicity 2)
Dy  0.238  0.500  0.444 (multiplicity 2)
Dy  0.291  0.500  0.809 (multiplicity 2)
Dy  0.459  0.500  0.659 (multiplicity 2)
Y  0.372  0.000  0.438 (multiplicity 2)
Y  0.411  0.000  0.815 (multiplicity 2)
Ho  0.247  0.000  0.974 (multiplicity 2)
Ho  0.330  0.500  0.170 (multiplicity 2)
Ho  0.478  0.000  0.180 (multiplicity 2)

Largest 10 diffraction maxima, low angle first, 5 to 70 degrees two-theta:
- d = 2.827 Å, rel. 17, hkl 5 1 -1
- d = 2.786 Å, rel. 36, hkl 0 2 0
- d = 2.771 Å, rel. 100, hkl 3 1 -3
- d = 2.751 Å, rel. 18, hkl 5 1 0
- d = 2.738 Å, rel. 12, hkl 6 0 -1
- d = 2.674 Å, rel. 11, hkl 1 1 3
- d = 1.965 Å, rel. 11, hkl 0 0 5
- d = 1.952 Å, rel. 11, hkl 6 2 -1
- d = 1.606 Å, rel. 25, hkl 3 3 -3
- d = 1.441 Å, rel. 8, hkl 8 2 2

Entry 9:
Structure and theoretical powder diffraction line list of NdTm3Sc7 (a structure optimized by DFT (GGA-PBE); Cu Ka).
Intensities are scaled so that the largest is 100.

Cell and atoms:
Lattice parameters (Å, degrees): 5.431 10.476 10.714 90.00 90.00 90.00
Space group Immm (No. 71)
One atom of each set of equivalent atoms:
Nd  0.000  0.000  0.000 (multiplicity 2)
Tm  0.000  0.207  0.500 (multiplicity 4)
Tm  0.000  0.500  0.000 (multiplicity 2)
Sc  0.000  0.000  0.293 (multiplicity 4)
Sc  0.000  0.310  0.217 (multiplicity 8)
Sc  0.000  0.500  0.500 (multiplicity 2)

Largest 10 diffraction maxima, low angle first, 5 to 70 degrees two-theta:
- d = 5.357 Å, rel. 51, hkl 0 0 2
- d = 3.556 Å, rel. 100, hkl 1 2 1
- d = 2.715 Å, rel. 46, hkl 2 0 0
- d = 2.679 Å, rel. 35, hkl 0 0 4
- d = 2.619 Å, rel. 17, hkl 0 4 0
- d = 2.593 Å, rel. 84, hkl 1 2 3
- d = 2.575 Å, rel. 49, hkl 1 3 2
- d = 1.907 Å, rel. 25, hkl 2 0 4
- d = 1.542 Å, rel. 28, hkl 3 2 3
- d = 1.418 Å, rel. 16, hkl 1 2 7